# 1
Structure and calculated powder X-ray diffraction pattern of Sm2Y2CIBr2Cl2 (a structure optimized by DFT (PBE); Cu Kα X-rays).

Principal peaks in the range 10° ≤ 2θ ≤ 80°, most intense first:
| 2θ/deg | d/Å | intensity |
| --- | --- | --- |
| 31.20 | 2.867 | 100.0 |
| 31.82 | 2.812 | 43.0 |
| 31.47 | 2.843 | 42.3 |
| 21.09 | 4.213 | 33.3 |
| 28.48 | 3.134 | 32.6 |
| 16.85 | 5.260 | 29.1 |
| 10.75 | 8.227 | 27.9 |
| 45.33 | 2.000 | 27.8 |
| 45.00 | 2.015 | 27.5 |
| 36.95 | 2.433 | 19.0 |

Structural model:
```
data_Sm2Y2CIBr2Cl2
_chemical_formula_sum 'Sm2 Y2 C1 I1 Br2 Cl2'
_cell_length_a 8.9352
_cell_length_b 8.9352
_cell_length_c 8.5058
_cell_angle_alpha 104.35
_cell_angle_beta 104.35
_cell_angle_gamma 25.08
_symmetry_space_group_name_H-M 'P 1'
_symmetry_Int_Tables_number 1
_symmetry_space_group_name_Hall 'P 1'
loop_
_atom_site_label
_atom_site_fract_x
_atom_site_fract_y
_atom_site_fract_z
_atom_site_occupancy
Sm1 0.1459 0.1459 0.0779 1
Sm2 0.8541 0.8541 0.9221 1
Y1 0.4988 0.4988 0.1914 1
Y2 0.5012 0.5012 0.8086 1
C1 0.0000 0.0000 0.0000 1
I1 0.0000 0.0000 0.5000 1
Br1 0.3316 0.3316 0.6590 1
Br2 0.6684 0.6684 0.3410 1
Cl1 0.3321 0.3321 0.1500 1
Cl2 0.6679 0.6679 0.8500 1
```

# 2
Structure and calculated powder X-ray diffraction pattern of Pr2PPd8 (a structure optimized by DFT (PBE); Cu Kα X-rays).

Principal peaks in the range 10° ≤ 2θ ≤ 80°, most intense first:
| 2θ/deg | d/Å | intensity |
| --- | --- | --- |
| 36.82 | 2.441 | 100.0 |
| 39.36 | 2.289 | 52.5 |
| 41.31 | 2.185 | 39.5 |
| 30.44 | 2.937 | 35.2 |
| 33.37 | 2.685 | 17.1 |
| 41.06 | 2.198 | 16.3 |
| 72.38 | 1.306 | 14.6 |
| 58.35 | 1.581 | 14.1 |
| 61.92 | 1.499 | 14.1 |
| 44.65 | 2.030 | 13.3 |

Structural model:
```
data_Pr2PPd8
_chemical_formula_sum 'Pr2 P1 Pd8'
_cell_length_a 4.3708
_cell_length_b 9.1946
_cell_length_c 9.1946
_cell_angle_alpha 146.04
_cell_angle_beta 90.00
_cell_angle_gamma 90.00
_symmetry_space_group_name_H-M 'P 1'
_symmetry_Int_Tables_number 1
_symmetry_space_group_name_Hall 'P 1'
loop_
_atom_site_label
_atom_site_fract_x
_atom_site_fract_y
_atom_site_fract_z
_atom_site_occupancy
Pr1 0.0000 0.1246 0.8754 1
Pr2 0.0000 0.8754 0.1246 1
P1 0.5000 0.2770 0.2770 1
Pd1 0.0000 0.2972 0.7014 1
Pd2 0.0000 0.4835 0.4835 1
Pd3 0.0000 0.7014 0.2972 1
Pd4 0.5000 0.0035 0.5095 1
Pd5 0.5000 0.3813 0.6038 1
Pd6 0.5000 0.5095 0.0035 1
Pd7 0.5000 0.6038 0.3813 1
Pd8 0.5000 0.8544 0.8544 1
```

# 3
Structure and calculated powder X-ray diffraction pattern of Er2MgHg5 (a structure optimized by DFT (PBE); Cu Kα X-rays).

Principal peaks in the range 10° ≤ 2θ ≤ 80°, most intense first:
| 2θ/deg | d/Å | intensity |
| --- | --- | --- |
| 36.00 | 2.494 | 100.0 |
| 36.24 | 2.479 | 29.2 |
| 37.53 | 2.397 | 27.6 |
| 32.71 | 2.738 | 18.7 |
| 65.03 | 1.434 | 18.2 |
| 69.71 | 1.349 | 15.1 |
| 30.98 | 2.886 | 14.4 |
| 57.31 | 1.608 | 13.6 |
| 49.61 | 1.838 | 11.8 |
| 67.61 | 1.386 | 9.7 |

Structural model:
```
data_Er2MgHg5
_chemical_formula_sum 'Er4 Mg2 Hg10'
_cell_length_a 4.9580
_cell_length_b 6.7931
_cell_length_c 10.9511
_cell_angle_alpha 90.00
_cell_angle_beta 90.00
_cell_angle_gamma 90.00
_symmetry_space_group_name_H-M 'P 1'
_symmetry_Int_Tables_number 1
_symmetry_space_group_name_Hall 'P 1'
loop_
_atom_site_label
_atom_site_fract_x
_atom_site_fract_y
_atom_site_fract_z
_atom_site_occupancy
Er1 0.0000 0.0000 0.0000 1
Er2 0.0000 0.5000 0.5000 1
Er3 0.5000 0.0000 0.3135 1
Er4 0.5000 0.5000 0.8135 1
Mg1 0.5000 0.0000 0.7920 1
Mg2 0.5000 0.5000 0.2920 1
Hg1 0.0000 0.0000 0.4899 1
Hg2 0.0000 0.2374 0.7473 1
Hg3 0.0000 0.2626 0.2473 1
Hg4 0.0000 0.5000 0.9899 1
Hg5 0.0000 0.7374 0.2473 1
Hg6 0.0000 0.7626 0.7473 1
Hg7 0.5000 0.2440 0.0593 1
Hg8 0.5000 0.2560 0.5593 1
Hg9 0.5000 0.7440 0.5593 1
Hg10 0.5000 0.7560 0.0593 1
```